Record 1
Starting from a GGA-PBE-relaxed structure, the X-ray diffraction stick pattern of U2AuF11 was simulated for copper Kα.
Kinematic intensities with the Lorentz-polarization factor, no thermal factor.

Main lines, in order of rising 2θ (10° ≤ 2θ ≤ 90°):
d_spacing  Rel. int.
3.948  100
3.559  52
3.181  22
2.372  29
1.987  38
1.974  18
1.954  15
1.687  12

Cell and atoms:
```
U2AuF11
1.0
-5.6279 5.6279 3.1811
5.6279 -5.6279 3.1811
5.6279 5.6279 -3.1811
U Au F
4 2 22
direct
0.1442 0.6442 0.7884
0.3558 0.1442 0.5000
0.6442 0.8558 0.5000
0.8558 0.3558 0.2116
0.0000 0.0000 0.0000
0.5000 0.5000 0.0000
0.0000 0.0000 0.5000
0.0000 0.5000 0.0000
0.0000 0.5000 0.5000
0.0729 0.7500 0.3229
0.0948 0.8289 0.9236
0.1711 0.0948 0.2659
0.2500 0.5729 0.3229
0.2500 0.9271 0.6771
0.3289 0.5948 0.9236
0.4052 0.3289 0.7341
0.4271 0.7500 0.6771
0.5000 0.0000 0.0000
0.5000 0.0000 0.5000
0.5000 0.5000 0.5000
0.5729 0.2500 0.3229
0.5948 0.6711 0.2659
0.6711 0.4052 0.0764
0.7500 0.0729 0.3229
0.7500 0.4271 0.6771
0.8289 0.9052 0.7341
0.9052 0.1711 0.0764
0.9271 0.2500 0.6771
```

Record 2
Starting from a GGA-PBE-relaxed structure, the X-ray diffraction stick pattern of LaGa2Ni3 was simulated for copper Kα.
Kinematic intensities with the Lorentz-polarization factor, no thermal factor.

Main lines, in order of rising 2θ (10° ≤ 2θ ≤ 90°):
d_spacing  Rel. int.
2.843  69
2.593  41
2.402  100
2.245  53
2.201  68
2.082  54
1.976  33
1.527  31

Cell and atoms:
```
LaGa2Ni3
1.0
8.9814 0.0000 0.0000
-4.4907 7.7781 0.0000
0.0000 0.0000 4.1650
La Ga Ni
3 6 9
direct
0.0000 0.0000 0.0000
0.3333 0.6667 0.5000
0.6667 0.3333 0.5000
0.0000 0.2748 0.5000
0.0000 0.5316 0.0000
0.2748 0.0000 0.5000
0.4684 0.4684 0.0000
0.5316 0.0000 0.0000
0.7252 0.7252 0.5000
0.0000 0.7139 0.5000
0.1662 0.3748 0.0000
0.2087 0.8338 0.0000
0.2861 0.2861 0.5000
0.3748 0.1662 0.0000
0.6252 0.7913 0.0000
0.7139 0.0000 0.5000
0.7913 0.6252 0.0000
0.8338 0.2087 0.0000
```

Record 3
Starting from a GGA-PBE-relaxed structure, the X-ray diffraction stick pattern of LaSmHg5 was simulated for copper Kα.
Kinematic intensities with the Lorentz-polarization factor, no thermal factor.

Main lines, in order of rising 2θ (10° ≤ 2θ ≤ 90°):
d_spacing  Rel. int.
2.668  100
2.360  36
2.221  15
1.669  12
1.618  23
1.415  29
1.354  13
1.334  12

Cell and atoms:
```
LaSmHg5
1.0
4.7203 0.0000 0.0000
0.0000 4.7203 0.0000
0.0000 0.0000 8.8848
La Sm Hg
1 1 5
direct
0.0000 0.0000 0.0000
0.5000 0.5000 0.5000
0.0000 0.0000 0.5000
0.0000 0.5000 0.2485
0.0000 0.5000 0.7515
0.5000 0.0000 0.2485
0.5000 0.0000 0.7515
```

Record 4
Starting from a GGA-PBE-relaxed structure, the X-ray diffraction stick pattern of HfSn2 was simulated for copper Kα.
Kinematic intensities with the Lorentz-polarization factor, no thermal factor.

Main lines, in order of rising 2θ (10° ≤ 2θ ≤ 90°):
d_spacing  Rel. int.
2.604  100
2.556  36
2.245  66
1.576  22
1.565  22
1.475  18
1.384  16
1.217  22

Cell and atoms:
```
HfSn2
1.0
5.5375 0.0000 0.0000
-2.7687 4.7956 0.0000
0.0000 0.0000 7.6687
Hf Sn
3 6
direct
0.0000 0.5000 0.1667
0.5000 0.0000 0.5000
0.5000 0.5000 0.8333
0.1677 0.3354 0.5000
0.1677 0.8323 0.8333
0.3354 0.1677 0.1667
0.6646 0.8323 0.1667
0.8323 0.1677 0.8333
0.8323 0.6646 0.5000
```

Record 5
Starting from a GGA-PBE-relaxed structure, the X-ray diffraction stick pattern of InGa2N3 was simulated for copper Kα.
Kinematic intensities with the Lorentz-polarization factor, no thermal factor.

Main lines, in order of rising 2θ (10° ≤ 2θ ≤ 90°):
d_spacing  Rel. int.
2.720  100
2.713  33
2.361  32
2.342  15
1.669  18
1.665  18
1.660  18
1.423  25

Cell and atoms:
```
InGa2N3
1.0
2.8810 -5.0091 0.0000
2.8810 5.0091 0.0000
-1.8755 0.0000 5.4267
In Ga N
2 4 6
direct
0.0869 0.9131 0.5000
0.9131 0.0869 0.0000
0.2560 0.7472 0.0017
0.4163 0.5817 0.5013
0.5817 0.4163 0.0013
0.7472 0.2560 0.5017
0.0444 0.2375 0.3961
0.2375 0.0444 0.8961
0.4007 0.8719 0.3693
0.5194 0.6825 0.8670
0.6825 0.5194 0.3670
0.8719 0.4007 0.8693
```

Record 6
Starting from a GGA-PBE-relaxed structure, the X-ray diffraction stick pattern of Ho2Si3Ir5 was simulated for copper Kα.
Kinematic intensities with the Lorentz-polarization factor, no thermal factor.

Main lines, in order of rising 2θ (10° ≤ 2θ ≤ 90°):
d_spacing  Rel. int.
2.562  32
2.451  100
2.430  64
2.240  26
2.218  42
2.077  32
2.039  47
1.334  32

Cell and atoms:
```
Ho2Si3Ir5
1.0
2.0388 -11.8942 0.0000
2.0388 11.8942 0.0000
0.0000 0.0000 6.6502
Ho Si Ir
4 6 10
direct
0.0225 0.9775 0.5000
0.3245 0.6755 0.5162
0.6755 0.3245 0.0162
0.9775 0.0225 0.0000
0.1106 0.8894 0.2260
0.2675 0.7325 0.0282
0.4543 0.5457 0.2964
0.5457 0.4543 0.7964
0.7325 0.2675 0.5282
0.8894 0.1106 0.7260
0.0986 0.9014 0.8477
0.2061 0.7939 0.3258
0.2091 0.7909 0.7311
0.3684 0.6316 0.0464
0.4434 0.5566 0.6630
0.5566 0.4434 0.1630
0.6316 0.3684 0.5464
0.7909 0.2091 0.2311
0.7939 0.2061 0.8258
0.9014 0.0986 0.3477
```